[1]
Theoretical X-ray powder pattern of La4V5Si4O22 for copper Kα, from a cell relaxed with PBE+U.
Peak positions follow from Bragg's law for the DFT cell and can differ from measured ones.

Crystal structure
a b c (Å): 13.628 5.731 11.236
angles (deg): 90.00 100.61 90.00
Space group C2/m (No. 12)
One atom of each set of equivalent atoms:
La1 0.073 0.000 0.248 (multiplicity 4)
La2 0.143 0.500 0.757 (multiplicity 4)
V1 0.000 0.000 0.500 (multiplicity 2)
V2 0.000 0.500 0.000 (multiplicity 2)
V3 0.000 0.500 0.500 (multiplicity 2)
V4 0.250 0.250 0.500 (multiplicity 4)
Si1 0.138 0.000 0.957 (multiplicity 4)
Si2 0.204 0.500 0.230 (multiplicity 4)
O1 0.022 0.241 0.629 (multiplicity 8)
O2 0.070 0.235 0.914 (multiplicity 8)
O3 0.089 0.500 0.160 (multiplicity 4)
O4 0.143 0.000 0.475 (multiplicity 4)
O5 0.150 0.500 0.515 (multiplicity 4)
O6 0.189 0.000 0.098 (multiplicity 4)
O7 0.218 0.000 0.864 (multiplicity 4)
O8 0.226 0.263 0.312 (multiplicity 8)

Top 10 peaks for 10 to 90 degrees two-theta, by intensity:
| 2θ/deg | I (rel.) |
| --- | --- |
| 27.7 | 1000 |
| 28.0 | 761 |
| 32.5 | 735 |
| 32.4 | 669 |
| 45.6 | 662 |
| 31.2 | 617 |
| 19.2 | 594 |
| 28.5 | 554 |
| 18.1 | 486 |
| 32.1 | 450 |


[2]
Theoretical X-ray powder pattern of La7SmTiV7O24 for copper Kα, from a cell relaxed with PBE+U.
Peak positions follow from Bragg's law for the DFT cell and can differ from measured ones.

Crystal structure
a b c (Å): 11.2112 11.2112 13.7323
angles (deg): 90.00 90.00 120.00
Space group R3m (No. 160, hexagonal axes)
One atom of each set of equivalent atoms:
La1 0.0000 0.0000 0.0000 (multiplicity 3)
La2 0.0039 0.5020 0.5012 (multiplicity 9)
La3 0.1686 0.3372 0.3361 (multiplicity 9)
Sm1 0.0000 0.0000 0.5053 (multiplicity 3)
Ti1 0.0000 0.0000 0.2528 (multiplicity 3)
V1 0.0000 0.0000 0.7515 (multiplicity 3)
V2 0.9996 0.4998 0.7521 (multiplicity 9)
V3 0.0005 0.5002 0.2518 (multiplicity 9)
O1 0.0005 0.2485 0.5023 (multiplicity 18)
O2 0.0816 0.1633 0.1706 (multiplicity 9)
O3 0.0817 0.1634 0.6669 (multiplicity 9)
O4 0.0835 0.4161 0.6683 (multiplicity 18)
O5 0.1625 0.0812 0.3346 (multiplicity 9)
O6 0.1646 0.0823 0.8354 (multiplicity 9)

Top 10 peaks for 10 to 90 degrees two-theta, by intensity:
| 2θ/deg | I (rel.) |
| --- | --- |
| 31.9 | 1000 |
| 56.9 | 382 |
| 45.8 | 336 |
| 39.4 | 241 |
| 66.7 | 196 |
| 22.4 | 195 |
| 75.9 | 162 |
| 51.6 | 102 |
| 80.3 | 77 |
| 84.7 | 65 |


[3]
Theoretical X-ray powder pattern of La7SmTi2V6O24 for copper Kα, from a cell relaxed with PBE+U.
Peak positions follow from Bragg's law for the DFT cell and can differ from measured ones.

Crystal structure
a b c (Å): 7.894 11.235 11.213
angles (deg): 90.00 90.00 90.00
Space group Amm2 (No. 38)
One atom of each set of equivalent atoms:
La1 0.000 0.000 0.000 (multiplicity 2)
La2 0.000 0.000 0.492 (multiplicity 2)
La3 0.000 0.247 0.246 (multiplicity 4)
La4 0.500 0.000 0.493 (multiplicity 2)
La5 0.500 0.247 0.246 (multiplicity 4)
Sm1 0.500 0.000 0.001 (multiplicity 2)
Ti1 0.251 0.000 0.747 (multiplicity 4)
V1 0.250 0.000 0.246 (multiplicity 4)
V2 0.250 0.250 0.496 (multiplicity 8)
O1 0.000 0.000 0.246 (multiplicity 2)
O2 0.000 0.000 0.747 (multiplicity 2)
O3 0.000 0.250 0.496 (multiplicity 4)
O4 0.250 0.122 0.623 (multiplicity 8)
O5 0.250 0.126 0.372 (multiplicity 8)
O6 0.252 0.122 0.870 (multiplicity 8)
O7 0.252 0.125 0.120 (multiplicity 8)
O8 0.500 0.000 0.244 (multiplicity 2)
O9 0.500 0.000 0.747 (multiplicity 2)
O10 0.500 0.248 0.996 (multiplicity 4)

Top 10 peaks for 10 to 90 degrees two-theta, by intensity:
| 2θ/deg | I (rel.) |
| --- | --- |
| 32.0 | 1000 |
| 31.9 | 503 |
| 56.9 | 384 |
| 39.4 | 365 |
| 45.7 | 338 |
| 22.4 | 199 |
| 66.9 | 197 |
| 57.1 | 191 |
| 46.0 | 167 |
| 75.8 | 122 |


[4]
Theoretical X-ray powder pattern of SrLaVO4 for copper Kα, from a cell relaxed with PBE+U.
Peak positions follow from Bragg's law for the DFT cell and can differ from measured ones.

Crystal structure
a b c (Å): 13.275 3.949 7.846
angles (deg): 90.00 107.28 90.00
Space group Cm (No. 8)
One atom of each set of equivalent atoms:
Sr1 0.000 0.000 0.000 (multiplicity 2)
Sr2 0.000 0.000 0.500 (multiplicity 2)
La1 0.212 0.500 0.357 (multiplicity 2)
La2 0.213 0.500 0.857 (multiplicity 2)
V1 0.359 0.000 0.180 (multiplicity 2)
V2 0.359 0.000 0.680 (multiplicity 2)
O1 0.030 0.500 0.265 (multiplicity 2)
O2 0.031 0.500 0.766 (multiplicity 2)
O3 0.190 0.000 0.096 (multiplicity 2)
O4 0.190 0.000 0.595 (multiplicity 2)
O5 0.349 0.500 0.175 (multiplicity 2)
O6 0.350 0.500 0.675 (multiplicity 2)
O7 0.352 0.000 0.427 (multiplicity 2)
O8 0.352 0.000 0.926 (multiplicity 2)

Top 10 peaks for 10 to 90 degrees two-theta, by intensity:
| 2θ/deg | I (rel.) |
| --- | --- |
| 31.0 | 1000 |
| 32.2 | 938 |
| 43.3 | 422 |
| 31.1 | 328 |
| 46.0 | 254 |
| 46.3 | 248 |
| 56.5 | 247 |
| 56.8 | 245 |
| 54.5 | 217 |
| 42.8 | 187 |


[5]
Theoretical X-ray powder pattern of SrLaVO4 for copper Kα, from a cell relaxed with PBE+U.
Peak positions follow from Bragg's law for the DFT cell and can differ from measured ones.

Crystal structure
a b c (Å): 5.521 12.781 5.555
angles (deg): 90.00 90.00 90.00
Space group Cmcm (No. 63)
One atom of each set of equivalent atoms:
Sr1 0.000 0.104 0.250 (multiplicity 4)
La1 0.000 0.392 0.250 (multiplicity 4)
V1 0.000 0.249 0.750 (multiplicity 4)
O1 0.000 0.085 0.750 (multiplicity 4)
O2 0.000 0.426 0.750 (multiplicity 4)
O3 0.250 0.250 0.000 (multiplicity 8)

Top 10 peaks for 10 to 90 degrees two-theta, by intensity:
| 2θ/deg | I (rel.) |
| --- | --- |
| 31.0 | 1000 |
| 46.4 | 374 |
| 32.2 | 354 |
| 32.4 | 347 |
| 23.8 | 202 |
| 56.7 | 184 |
| 57.0 | 181 |
| 64.7 | 173 |
| 43.2 | 157 |
| 43.3 | 156 |